Calculated powder XRD pattern
Compound: Cu3Mo2H2O10
Radiation: Cu Kα, 1.54184 Å
Structure: a cell relaxed with PBE+U

Main lines, low angle first (2θ from 10° to 90°):
(hkl)	Position (°2θ)	intensity
0 2 0	12.56	11.1
0 2 1	20.15	22.2
1 0 0	21.05	31.9
1 2 0	24.59	13.5
1 3 -1	25.11	100.0
0 4 0	25.28	19.4
0 0 2	31.69	13.7
0 1 2	32.34	16.9
2 0 -2	33.10	34.7
1 2 1	36.05	13.0
2 2 -1	36.97	14.4
1 1 -3	38.51	10.7

Cell and atoms:
```
Cu3Mo2H2O10
1.0
5.475 0.000 0.000
0.000 14.095 0.000
-4.668 0.000 5.647
Cu Mo H O
6 4 4 20
Cartesian
0.000 0.000 0.000
-2.334 7.047 2.823
-0.363 1.323 2.931
1.971 5.724 0.108
-1.163 8.370 5.539
1.171 12.772 2.716
0.529 9.222 2.097
-1.805 11.920 4.921
2.612 2.175 0.726
0.278 4.873 3.549
-3.590 8.007 4.965
-1.256 13.135 2.141
2.064 0.960 3.505
4.398 6.087 0.682
-0.178 8.865 0.448
-2.512 12.277 3.271
-2.779 7.471 4.764
-0.445 13.671 1.941
0.902 1.577 0.667
-1.432 5.470 3.491
-0.415 8.339 3.314
1.919 12.803 0.491
-1.881 10.168 5.281
0.453 10.974 2.457
0.354 3.121 3.189
2.688 3.926 0.366
-1.112 1.292 5.156
1.222 5.756 2.333
2.240 8.624 2.156
-0.094 12.518 4.979
1.253 0.424 3.706
3.587 6.624 0.883
3.320 1.817 2.376
0.986 5.230 5.199
```